# 1
Structure and calculated X-ray diffraction stick pattern of Mn2FeO4 (a PBE+U-relaxed structure; copper Kα).
Peak positions follow from Bragg's law for the DFT cell and can differ from measured ones.

Structural model:
a b c (Å): 5.993 5.996 9.050
angles (deg): 90.00 90.00 90.00
Space group Imma (No. 74)
Asymmetric unit:
Mn 0.000 0.000 0.000 (multiplicity 4)
Mn 0.250 0.250 0.250 (multiplicity 4)
Fe 0.000 0.250 0.622 (multiplicity 4)
O 0.000 0.021 0.250 (multiplicity 8)
O 0.241 0.250 0.998 (multiplicity 8)

Top 10 peaks for 2θ from 5° to 70°, in order of rising 2θ:
two_theta, I_rel
28.9, 32.9
29.8, 15.5
33.2, 66.9
34.9, 100.0
39.8, 13.2
42.7, 20.4
52.8, 15.5
56.3, 28.5
59.8, 53.1
61.9, 23.5


# 2
Structure and calculated X-ray diffraction stick pattern of Mn3FeO8 (a PBE+U-relaxed structure; copper Kα).
Peak positions follow from Bragg's law for the DFT cell and can differ from measured ones.

Structural model:
a b c (Å): 5.7983 5.7983 9.0409
angles (deg): 90.00 90.00 120.00
Space group P6_3mc (No. 186)
Asymmetric unit:
Mn 0.1677 0.3354 0.0000 (multiplicity 6)
Fe 0.3333 0.6667 0.2831 (multiplicity 2)
O 0.0000 0.0000 0.1050 (multiplicity 2)
O 0.0407 0.5203 0.1234 (multiplicity 6)
O 0.1630 0.3260 0.3894 (multiplicity 6)
O 0.3333 0.6667 0.8910 (multiplicity 2)

Top 10 peaks for 2θ from 5° to 70°, in order of rising 2θ:
two_theta, I_rel
19.6, 62.7
20.2, 100.0
26.5, 33.1
34.7, 31.0
36.8, 45.7
37.2, 48.7
41.1, 39.8
47.1, 51.1
63.4, 39.5
64.3, 35.8


# 3
Structure and calculated X-ray diffraction stick pattern of Mn2FeO6 (a PBE+U-relaxed structure; copper Kα).
Peak positions follow from Bragg's law for the DFT cell and can differ from measured ones.

Structural model:
a b c (Å): 12.705 2.950 5.775
angles (deg): 90.00 101.22 90.00
Space group C2/m (No. 12)
Asymmetric unit:
Mn 0.168 0.000 0.335 (multiplicity 4)
Fe 0.000 0.500 0.000 (multiplicity 2)
O 0.012 0.000 0.231 (multiplicity 4)
O 0.160 0.500 0.114 (multiplicity 4)
O 0.177 0.500 0.559 (multiplicity 4)

Top 10 peaks for 2θ from 5° to 70°, in order of rising 2θ:
two_theta, I_rel
19.0, 100.0
35.5, 12.7
35.7, 25.1
37.4, 7.0
43.6, 17.6
43.9, 34.5
48.1, 9.8
58.7, 9.9
62.7, 10.3
64.4, 7.9


# 4
Structure and calculated X-ray diffraction stick pattern of Mn2FeO6 (a PBE+U-relaxed structure; copper Kα).
Peak positions follow from Bragg's law for the DFT cell and can differ from measured ones.

Structural model:
a b c (Å): 8.880 5.107 9.822
angles (deg): 90.00 90.00 90.00
Space group Cmce (No. 64)
Asymmetric unit:
Mn 0.168 0.000 0.000 (multiplicity 8)
Fe 0.000 0.000 0.500 (multiplicity 4)
O 0.000 0.163 0.097 (multiplicity 8)
O 0.170 0.170 0.402 (multiplicity 16)

Top 10 peaks for 2θ from 5° to 70°, in order of rising 2θ:
two_theta, I_rel
18.1, 100.0
35.1, 6.0
36.2, 26.1
39.8, 21.0
44.9, 26.7
51.6, 12.0
59.3, 14.6
63.8, 14.3
65.9, 4.4
68.0, 4.6


# 5
Structure and calculated X-ray diffraction stick pattern of Mn13Fe11O32 (a PBE+U-relaxed structure; copper Kα).
Peak positions follow from Bragg's law for the DFT cell and can differ from measured ones.

Structural model:
a b c (Å): 10.518 6.025 20.074
angles (deg): 90.00 99.54 90.00
Space group C2/m (No. 12)
Asymmetric unit:
Mn 0.000 0.000 0.000 (multiplicity 2)
Mn 0.090 0.000 0.281 (multiplicity 4)
Mn 0.093 0.500 0.780 (multiplicity 4)
Mn 0.125 0.500 0.374 (multiplicity 4)
Mn 0.157 0.000 0.470 (multiplicity 4)
Mn 0.159 0.500 0.971 (multiplicity 4)
Mn 0.248 0.500 0.250 (multiplicity 4)
Fe 0.000 0.500 0.500 (multiplicity 2)
Fe 0.123 0.000 0.874 (multiplicity 4)
Fe 0.123 0.252 0.623 (multiplicity 8)
Fe 0.126 0.250 0.125 (multiplicity 8)
O 0.049 0.500 0.678 (multiplicity 4)
O 0.053 0.227 0.938 (multiplicity 8)
O 0.060 0.000 0.180 (multiplicity 4)
O 0.062 0.273 0.431 (multiplicity 8)
O 0.083 0.500 0.189 (multiplicity 4)
O 0.086 0.000 0.689 (multiplicity 4)
O 0.170 0.000 0.061 (multiplicity 4)
O 0.175 0.500 0.564 (multiplicity 4)
O 0.190 0.282 0.314 (multiplicity 8)
O 0.194 0.500 0.072 (multiplicity 4)
O 0.195 0.226 0.809 (multiplicity 8)
O 0.201 0.000 0.572 (multiplicity 4)

Top 10 peaks for 2θ from 5° to 70°, in order of rising 2θ:
two_theta, I_rel
18.0, 20.4
29.5, 28.4
29.6, 13.9
34.6, 49.3
34.8, 100.0
36.4, 13.4
42.4, 22.3
55.4, 16.1
56.0, 30.6
61.1, 45.7


# 6
Structure and calculated X-ray diffraction stick pattern of Mn9FeO10 (a PBE+U-relaxed structure; copper Kα).
Peak positions follow from Bragg's law for the DFT cell and can differ from measured ones.

Structural model:
a b c (Å): 13.964 3.176 10.597
angles (deg): 90.00 102.11 90.00
Space group C2/m (No. 12)
Asymmetric unit:
Mn 0.000 0.000 0.000 (multiplicity 2)
Mn 0.100 0.500 0.800 (multiplicity 4)
Mn 0.101 0.000 0.302 (multiplicity 4)
Mn 0.199 0.000 0.598 (multiplicity 4)
Mn 0.200 0.500 0.101 (multiplicity 4)
Fe 0.000 0.500 0.500 (multiplicity 2)
O 0.048 0.000 0.646 (multiplicity 4)
O 0.050 0.500 0.151 (multiplicity 4)
O 0.150 0.000 0.950 (multiplicity 4)
O 0.150 0.500 0.450 (multiplicity 4)
O 0.249 0.500 0.750 (multiplicity 4)

Top 9 peaks for 2θ from 5° to 70°, in order of rising 2θ:
two_theta, I_rel
34.4, 46.8
34.5, 46.4
39.8, 51.1
40.0, 100.0
57.7, 73.6
58.1, 14.4
68.8, 12.2
69.0, 12.1
69.3, 12.0


# 7
Structure and calculated X-ray diffraction stick pattern of MnFe2O4 (a PBE+U-relaxed structure; copper Kα).
Peak positions follow from Bragg's law for the DFT cell and can differ from measured ones.

Structural model:
a b c (Å): 6.192 6.268 8.259
angles (deg): 90.00 90.00 90.00
Space group Imma (No. 74)
Asymmetric unit:
Mn 0.000 0.000 0.000 (multiplicity 4)
Fe 0.000 0.250 0.372 (multiplicity 4)
Fe 0.250 0.250 0.750 (multiplicity 4)
O 0.000 0.028 0.764 (multiplicity 8)
O 0.230 0.250 0.991 (multiplicity 8)

Top 10 peaks for 2θ from 5° to 70°, in order of rising 2θ:
two_theta, I_rel
29.7, 56.3
33.8, 97.5
34.1, 100.0
35.7, 85.9
41.0, 41.8
54.1, 35.1
54.4, 30.1
57.7, 26.3
58.9, 23.9
61.6, 82.9


# 8
Structure and calculated X-ray diffraction stick pattern of MnFe2O4 (a PBE+U-relaxed structure; copper Kα).
Peak positions follow from Bragg's law for the DFT cell and can differ from measured ones.

Structural model:
a b c (Å): 6.019 6.032 6.054
angles (deg): 119.49 90.74 119.28
Space group P-1 (No. 2)
Asymmetric unit:
Mn 0.128 0.254 0.377 (multiplicity 2)
Fe 0.000 0.500 0.000 (multiplicity 1)
Fe 0.500 0.000 0.000 (multiplicity 1)
Fe 0.500 0.000 0.500 (multiplicity 1)
Fe 0.500 0.500 0.000 (multiplicity 1)
O 0.258 0.523 0.793 (multiplicity 2)
O 0.267 0.527 0.235 (multiplicity 2)
O 0.277 0.990 0.249 (multiplicity 2)
O 0.286 0.041 0.778 (multiplicity 2)

Top 10 peaks for 2θ from 5° to 70°, in order of rising 2θ:
two_theta, I_rel
17.9, 36.7
29.3, 28.3
29.5, 28.5
29.7, 27.5
34.5, 52.9
34.6, 100.0
34.7, 47.4
35.0, 46.9
35.1, 25.5
60.8, 46.0